This entry pairs a crystal structure of Mn2Ag2GeS6 with its theoretical powder diffraction line list. Radiation: CuKα. Structure: a GGA-PBE-relaxed structure.
No peak broadening, texture or thermal motion is included.

Cell lengths 6.003, 6.003, 7.561 Å; angles 97.62, 97.62, 119.78 degrees
Element x y z (fractional)
Mn: 0.160 0.840 0.000
Mn: 0.840 0.160 0.000
Ag: 0.325 0.675 0.500
Ag: 0.675 0.325 0.500
Ge: 0.500 0.500 0.000
S: 0.097 0.097 0.825
S: 0.204 0.557 0.173
S: 0.443 0.796 0.827
S: 0.557 0.204 0.173
S: 0.796 0.443 0.827
S: 0.903 0.903 0.175

The 10 most intense peaks (10° ≤ 2θ ≤ 90°), by intensity:
2θ (°)	I/Imax
30.9	100.0
51.7	52.5
44.9	49.1
30.8	48.8
24.4	38.5
52.7	36.8
34.0	29.8
21.0	29.5
44.7	25.4
17.5	20.9